Li9Mn2Co5O16: theoretical PXRD pattern (Cu Ka), based on a crystal structure in the Materials Project, relaxed with GGA+U.
No peak broadening, texture or thermal motion is included.

Structure:
```
data_Li9Mn2Co5O16
_cell_length_a 5.172
_cell_length_b 5.785
_cell_length_c 9.709
_cell_angle_alpha 90.00
_cell_angle_beta 98.92
_cell_angle_gamma 90.00
_symmetry_space_group_name_H-M 'P 1 2 1'
_symmetry_Int_Tables_number 3
loop_
_symmetry_equiv_pos_as_xyz
'x,y,z'
'-x,y,-z'
loop_
_atom_site_label
_atom_site_type_symbol
_atom_site_fract_x
_atom_site_fract_y
_atom_site_fract_z
Li1 Li 0.000 0.000 0.000
Li2 Li 0.000 0.242 0.500
Li3 Li 0.000 0.495 0.000
Li4 Li 0.246 0.242 0.255
Li5 Li 0.249 0.746 0.255
Li6 Li 0.500 0.491 0.500
Li7 Li 0.500 0.992 0.500
Mn1 Mn 0.251 0.497 0.747
Co1 Co 0.000 0.744 0.500
Co2 Co 0.246 0.000 0.742
Co3 Co 0.500 0.243 0.000
Co4 Co 0.500 0.751 0.000
O1 O 0.080 0.506 0.371
O2 O 0.098 0.975 0.379
O3 O 0.139 0.259 0.868
O4 O 0.148 0.744 0.867
O5 O 0.372 0.248 0.639
O6 O 0.378 0.731 0.636
O7 O 0.383 0.996 0.117
O8 O 0.405 0.496 0.126
```

Principal peaks in the range 10 to 90 degrees two-theta, in order of rising 2θ:
2theta	I_rel	index
18.36	100	1 0 -1
35.35	15	1 0 3
36.26	26	0 2 2
37.63	8	1 2 1
42.60	29	2 0 2
44.05	53	1 2 -3
47.48	9	2 2 0
58.04	9	2 2 -4
62.75	15	3 2 -1
63.14	15	1 2 5
63.70	7	2 0 -6
64.42	7	0 4 0